Calculated X-ray powder pattern
Compound: Mn3Fe8CuO16
Radiation: Cu Kα (λ = 1.5418 Å)
Structure: the PBE+U geometry in Alexandria
Kinematic intensities with the Lorentz-polarization factor, no thermal factor.

Largest 10 diffraction maxima, in order of falling intensity, 10 to 90 degrees two-theta:
2θ = 34.41°, I 1000
2θ = 60.60°, I 459
2θ = 55.22°, I 381
2θ = 29.22°, I 303
2θ = 41.80°, I 207
2θ = 86.48°, I 163
2θ = 17.77°, I 127
2θ = 71.58°, I 103
2θ = 51.82°, I 100
2θ = 35.99°, I 90

abc: 10.583 10.583 10.583
angles: 33.57 33.57 33.57
Atoms (fractional coordinates):
Mn 0.000 0.000 0.000
Mn 0.125 0.125 0.125
Mn 0.625 0.625 0.625
Fe 0.062 0.062 0.561
Fe 0.062 0.561 0.062
Fe 0.064 0.563 0.563
Fe 0.313 0.313 0.313
Fe 0.561 0.062 0.062
Fe 0.563 0.064 0.563
Fe 0.563 0.563 0.064
Fe 0.813 0.813 0.813
Cu 0.500 0.500 0.500
O 0.160 0.703 0.703
O 0.194 0.194 0.194
O 0.208 0.208 0.655
O 0.208 0.655 0.208
O 0.417 0.417 0.972
O 0.417 0.972 0.417
O 0.433 0.433 0.433
O 0.471 0.918 0.918
O 0.655 0.208 0.208
O 0.695 0.695 0.695
O 0.703 0.160 0.703
O 0.703 0.703 0.160
O 0.918 0.471 0.918
O 0.918 0.918 0.471
O 0.930 0.930 0.930
O 0.972 0.417 0.417